[1]
The following is a simulated X-ray powder pattern of Tl2Zn3Ga4. It was derived from a DFT-relaxed cell (GGA-PBE, Alexandria), using copper Kα.
No peak broadening, texture or thermal motion is included.

Main lines, sorted by position (5° ≤ 2θ ≤ 70°):
Position (°2θ), I_rel, index
27.9, 27, 1 1 3
30.4, 37, 1 3 1
31.7, 23, 0 2 4
34.6, 23, 2 0 0
36.2, 100, 1 3 3
38.3, 19, 2 2 0
39.4, 20, 1 1 5
44.6, 20, 2 0 4
61.6, 19, 2 6 0
63.1, 20, 3 3 3

Structural model:
```
data_Tl2Zn3Ga4
_cell_length_a 5.182
_cell_length_b 11.106
_cell_length_c 13.100
_cell_angle_alpha 90.00
_cell_angle_beta 90.00
_cell_angle_gamma 90.00
_symmetry_space_group_name_H-M 'F m m m'
_symmetry_Int_Tables_number 69
_symmetry_space_group_name_Hall '-F 2 2'
loop_
_atom_site_label
_atom_site_type_symbol
_atom_site_fract_x
_atom_site_fract_y
_atom_site_fract_z
Tl1 Tl 0.000 0.000 0.134
Zn1 Zn 0.000 0.000 0.500
Zn2 Zn 0.250 0.250 0.000
Ga1 Ga 0.000 0.170 0.329
```



[2]
The following is a simulated X-ray powder pattern of Sm3TmBi4. It was derived from a DFT-relaxed cell (GGA-PBE, Alexandria), using copper Kα.
No peak broadening, texture or thermal motion is included.

Main lines, sorted by position (5° ≤ 2θ ≤ 70°):
Position (°2θ), I_rel, index
24.1, 4, 0 2 1
27.9, 100, 2 0 1
39.8, 78, 0 0 2
47.1, 2, 2 2 2
49.3, 28, 0 4 2
57.6, 14, 4 0 2
63.3, 1, 0 2 3
65.1, 37, 2 0 3

Structural model:
```
data_Sm3TmBi4
_cell_length_a 9.056
_cell_length_b 12.807
_cell_length_c 4.530
_cell_angle_alpha 90.00
_cell_angle_beta 90.00
_cell_angle_gamma 90.00
_symmetry_space_group_name_H-M 'C m m m'
_symmetry_Int_Tables_number 65
_symmetry_space_group_name_Hall '-C 2 2'
loop_
_atom_site_label
_atom_site_type_symbol
_atom_site_fract_x
_atom_site_fract_y
_atom_site_fract_z
Sm1 Sm 0.000 0.000 0.000
Sm2 Sm 0.250 0.250 0.500
Tm1 Tm 0.000 0.500 0.000
Bi1 Bi 0.000 0.253 0.000
Bi2 Bi 0.244 0.500 0.500
```



[3]
The following is a simulated X-ray powder pattern of KBeF3. It was derived from a DFT-relaxed cell (GGA-PBE, Alexandria), using copper Kα.
No peak broadening, texture or thermal motion is included.

Main lines, sorted by position (5° ≤ 2θ ≤ 70°):
Position (°2θ), I_rel, index
26.4, 100, 1 1 1
27.1, 52, 0 1 3
29.1, 49, 0 0 4
33.4, 29, 0 1 4
38.8, 55, 1 2 1
39.7, 55, 2 0 0
40.9, 47, 1 2 2
44.2, 36, 1 2 3
45.1, 66, 1 1 5
50.0, 18, 2 0 4

Structural model:
```
data_KBeF3
_cell_length_a 4.540
_cell_length_b 5.546
_cell_length_c 12.260
_cell_angle_alpha 90.00
_cell_angle_beta 90.00
_cell_angle_gamma 90.00
_symmetry_space_group_name_H-M 'P 21 21 21'
_symmetry_Int_Tables_number 19
_symmetry_space_group_name_Hall 'P 2ac 2ab'
loop_
_atom_site_label
_atom_site_type_symbol
_atom_site_fract_x
_atom_site_fract_y
_atom_site_fract_z
K1 K 0.225 0.184 0.359
Be1 Be 0.168 0.800 0.571
F1 F 0.177 0.279 0.958
F2 F 0.234 0.066 0.593
F3 F 0.238 0.623 0.662
```